Theoretical X-ray diffraction stick pattern
Compound: Ce6Au
Radiation: Cu Kα, 1.54184 Å
Structure: a DFT-relaxed cell (GGA-PBE, Alexandria)
Intensities are scaled so that the largest is 100.

Structural model:
Cell: 7.5626 7.5626 7.5626 Å, 90.00 90.00 90.00°
Space group Im-3m (No. 229)
Asymmetric unit:
Ce (0.0000, 0.2500, 0.5000)
Au (0.0000, 0.0000, 0.0000)

Peak list (10 most intense, 2θ from 5° to 70°, low angle first)
- (1 1 0), 16.6°, I 6
- (2 0 0), 23.5°, I 42
- (2 1 1), 28.9°, I 100
- (3 1 0), 37.6°, I 1
- (2 2 2), 41.4°, I 23
- (3 2 1), 44.8°, I 61
- (4 0 0), 48.1°, I 29
- (4 2 0), 54.2°, I 17
- (3 3 2), 57.1°, I 15
- (5 2 1), 67.9°, I 18

Theoretical X-ray diffraction stick pattern
Compound: Tb5Nd2Ho12
Radiation: Cu Kα, 1.54184 Å
Structure: a DFT-relaxed cell (GGA-PBE, Alexandria)
Intensities are scaled so that the largest is 100.

Structural model:
Cell: 6.2389 8.8220 12.0745 Å, 68.84 80.63 79.76°
Space group P-1 (No. 2)
Asymmetric unit:
Tb (0.0000, 0.0000, 0.0000)
Tb (0.2139, 0.3246, 0.0119)
Tb (0.3613, 0.8398, 0.5094)
Nd (0.2617, 0.5012, 0.4333)
Ho (0.0914, 0.1255, 0.6605)
Ho (0.1648, 0.2065, 0.3238)
Ho (0.2281, 0.4607, 0.7162)
Ho (0.2760, 0.5992, 0.1379)
Ho (0.3107, 0.7407, 0.8331)
Ho (0.4574, 0.9244, 0.1737)

Peak list (10 most intense, 2θ from 5° to 70°, low angle first)
- (-1 1 3), 29.1°, I 23
- (1 0 -3), 29.4°, I 35
- (0 3 1), 31.1°, I 60
- (1 -1 3), 32.5°, I 100
- (2 -1 0), 32.7°, I 92
- (1 1 -3), 33.6°, I 15
- (1 2 -2), 34.1°, I 15
- (3 1 4), 50.0°, I 18
- (1 -4 2), 56.2°, I 25
- (3 4 5), 60.1°, I 11

Theoretical X-ray diffraction stick pattern
Compound: LiTl6C2O6F2
Radiation: Cu Kα, 1.54184 Å
Structure: a DFT-relaxed cell (GGA-PBE, Alexandria)
Intensities are scaled so that the largest is 100.

Structural model:
Cell: 6.6037 7.5844 8.1661 Å, 64.21 79.39 85.61°
Space group P1 (No. 1)
Asymmetric unit:
Li (0.0000, 0.0000, 0.0000)
Tl (0.1703, 0.4027, 0.4876)
Tl (0.2669, 0.9512, 0.3579)
Tl (0.3233, 0.6441, 0.9941)
Tl (0.6605, 0.0524, 0.7115)
Tl (0.7092, 0.6002, 0.6272)
Tl (0.7674, 0.3166, 0.1799)
C (0.2616, 0.3173, 0.8861)
C (0.8126, 0.7277, 0.1994)
O (0.2055, 0.1809, 0.8469)
O (0.2754, 0.2809, 0.0548)
O (0.3008, 0.4933, 0.7556)
O (0.6955, 0.5787, 0.3101)
O (0.8490, 0.8614, 0.2508)
O (0.8992, 0.7477, 0.0338)
F (0.4587, 0.1721, 0.4435)
F (0.9667, 0.1314, 0.4512)

Peak list (10 most intense, 2θ from 5° to 70°, low angle first)
- (0 1 2), 22.3°, I 48
- (1 0 2), 26.1°, I 77
- (1 2 1), 26.3°, I 100
- (1 1 -1), 26.6°, I 53
- (2 0 0), 27.5°, I 60
- (2 0 1), 28.2°, I 32
- (-1 2 1), 28.3°, I 84
- (1 0 -2), 30.2°, I 43
- (0 2 -1), 33.5°, I 39
- (0 2 3), 35.1°, I 31

Theoretical X-ray diffraction stick pattern
Compound: Tm3CdHg5
Radiation: Cu Kα, 1.54184 Å
Structure: a DFT-relaxed cell (GGA-PBE, Alexandria)
Intensities are scaled so that the largest is 100.

Structural model:
Cell: 8.9205 8.9205 6.2078 Å, 90.00 90.00 120.00°
Space group P6_3/mcm (No. 193)
Asymmetric unit:
Tm (0.0000, 0.3485, 0.2500)
Cd (0.0000, 0.0000, 0.0000)
Hg (0.0000, 0.3163, 0.7500)
Hg (0.3333, 0.6667, 0.0000)

Peak list (10 most intense, 2θ from 5° to 70°, low angle first)
- (1 0 0), 11.5°, I 3
- (0 0 2), 28.8°, I 8
- (2 1 1), 33.9°, I 5
- (3 0 0), 34.8°, I 100
- (1 1 2), 35.2°, I 87
- (3 0 2), 45.8°, I 12
- (2 2 2), 50.4°, I 31
- (0 0 4), 59.6°, I 8
- (3 3 0), 62.5°, I 18
- (4 1 2), 62.7°, I 31

Theoretical X-ray diffraction stick pattern
Compound: ZnCu5Au4
Radiation: Cu Kα, 1.54184 Å
Structure: a DFT-relaxed cell (GGA-PBE, Alexandria)
Intensities are scaled so that the largest is 100.

Structural model:
Cell: 14.1113 4.0179 5.4543 Å, 90.00 107.22 90.00°
Space group C2/m (No. 12)
Asymmetric unit:
Zn (0.0000, 0.0000, 0.0000)
Cu (0.0000, 0.0000, 0.5000)
Cu (0.0995, 0.5000, 0.8010)
Cu (0.1961, 0.0000, 0.6049)
Au (0.0961, 0.5000, 0.3143)
Au (0.2003, 0.0000, 0.1075)

Peak list (10 most intense, 2θ from 5° to 70°, low angle first)
- (2 0 1), 24.5°, I 32
- (3 1 -1), 31.4°, I 34
- (1 1 -2), 40.1°, I 100
- (5 1 0), 40.3°, I 99
- (6 0 -2), 44.8°, I 35
- (0 2 0), 45.1°, I 36
- (4 0 2), 50.2°, I 27
- (6 2 -2), 65.5°, I 22
- (2 0 -4), 69.3°, I 9
- (4 2 2), 69.8°, I 30

Theoretical X-ray diffraction stick pattern
Compound: Pm6P2PbSe3
Radiation: Cu Kα, 1.54184 Å
Structure: a DFT-relaxed cell (GGA-PBE, Alexandria)
Intensities are scaled so that the largest is 100.

Structural model:
Cell: 18.5104 4.2114 8.5603 Å, 90.00 103.36 90.00°
Space group C2/m (No. 12)
Asymmetric unit:
Pm (0.0063, 0.0000, 0.2641)
Pm (0.1718, 0.5000, 0.1033)
Pm (0.1722, 0.5000, 0.5729)
P (0.1685, 0.0000, 0.3366)
Pb (0.0000, 0.5000, 0.0000)
Se (0.0000, 0.5000, 0.5000)
Se (0.1644, 0.0000, 0.8321)

Peak list (10 most intense, 2θ from 5° to 70°, low angle first)
- (4 0 -2), 25.6°, I 7
- (3 1 0), 25.8°, I 7
- (1 1 -2), 29.8°, I 100
- (2 0 -4), 42.2°, I 12
- (7 1 -2), 42.6°, I 49
- (0 2 0), 43.0°, I 13
- (8 0 -4), 52.5°, I 12
- (6 2 0), 53.1°, I 13
- (2 2 -4), 61.8°, I 12
- (3 1 -6), 69.6°, I 5

Theoretical X-ray diffraction stick pattern
Compound: Hf2PtO
Radiation: Cu Kα, 1.54184 Å
Structure: a DFT-relaxed cell (GGA-PBE, Alexandria)
Intensities are scaled so that the largest is 100.

Structural model:
Cell: 3.3339 7.6711 5.6392 Å, 90.00 90.00 90.00°
Space group Pmn2_1 (No. 31)
Asymmetric unit:
Hf (0.0000, 0.0193, 0.0000)
Hf (0.0000, 0.6169, 0.8127)
Pt (0.0000, 0.2811, 0.6497)
O (0.0000, 0.8659, 0.6807)

Peak list (10 most intense, 2θ from 5° to 70°, low angle first)
- (0 1 1), 19.5°, I 43
- (0 2 1), 28.1°, I 34
- (1 0 1), 31.2°, I 100
- (1 1 1), 33.3°, I 53
- (0 1 2), 33.9°, I 50
- (0 3 0), 35.1°, I 38
- (0 3 1), 38.7°, I 37
- (1 2 1), 39.2°, I 83
- (0 2 2), 39.7°, I 33
- (1 1 2), 43.7°, I 43

Theoretical X-ray diffraction stick pattern
Compound: Er3Cl7O
Radiation: Cu Kα, 1.54184 Å
Structure: a DFT-relaxed cell (GGA-PBE, Alexandria)
Intensities are scaled so that the largest is 100.

Structural model:
Cell: 7.6174 7.6174 6.5658 Å, 90.00 90.00 120.00°
Space group P3m1 (No. 156)
Asymmetric unit:
Er (0.0244, 0.5122, 0.0000)
Cl (0.1670, 0.3341, 0.2378)
Cl (0.3449, 0.1724, 0.7863)
Cl (0.6667, 0.3333, 0.2285)
O (0.3333, 0.6667, 0.8959)

Peak list (10 most intense, 2θ from 5° to 70°, low angle first)
- (0 0 1), 13.5°, I 100
- (1 0 1), 19.1°, I 23
- (2 0 0), 27.0°, I 25
- (0 2 1), 30.3°, I 69
- (0 2 2), 38.7°, I 52
- (2 2 0), 47.8°, I 16
- (2 2 1), 49.9°, I 18
- (2 0 3), 50.0°, I 18
- (4 0 1), 57.6°, I 10
- (4 0 2), 63.1°, I 13

Theoretical X-ray diffraction stick pattern
Compound: CaZnAg4
Radiation: Cu Kα, 1.54184 Å
Structure: a DFT-relaxed cell (GGA-PBE, Alexandria)
Intensities are scaled so that the largest is 100.

Structural model:
Cell: 8.1054 4.0939 7.3314 Å, 90.00 90.00 90.00°
Space group Pmma (No. 51)
Asymmetric unit:
Ca (0.2500, 0.0000, 0.1201)
Zn (0.2500, 0.0000, 0.7177)
Ag (0.0000, 0.0000, 0.5000)
Ag (0.0515, 0.5000, 0.8100)
Ag (0.2500, 0.5000, 0.4497)

Peak list (10 most intense, 2θ from 5° to 70°, low angle first)
- (0 0 1), 12.1°, I 41
- (1 0 1), 16.3°, I 15
- (2 1 1), 33.4°, I 95
- (1 1 2), 34.7°, I 32
- (0 0 3), 36.8°, I 27
- (1 0 3), 38.5°, I 16
- (2 1 2), 39.8°, I 100
- (3 1 1), 41.9°, I 34
- (0 2 0), 44.2°, I 37
- (4 0 0), 44.7°, I 18

Theoretical X-ray diffraction stick pattern
Compound: K3Sn2Sb2
Radiation: Cu Kα, 1.54184 Å
Structure: a DFT-relaxed cell (GGA-PBE, Alexandria)
Intensities are scaled so that the largest is 100.

Structural model:
Cell: 6.6618 10.3838 15.5688 Å, 90.00 90.00 90.00°
Space group Pbcm (No. 57)
Asymmetric unit:
K (0.1141, 0.1494, 0.1176)
K (0.3368, 0.7182, 0.7500)
Sn (0.3295, 0.0366, 0.5670)
Sb (0.2078, 0.0583, 0.7500)
Sb (0.3938, 0.7500, 0.0000)

Peak list (10 most intense, 2θ from 5° to 70°, low angle first)
- (0 0 2), 11.4°, I 34
- (1 0 0), 13.3°, I 29
- (1 1 1), 16.8°, I 100
- (1 0 2), 17.5°, I 52
- (1 3 0), 29.1°, I 67
- (1 3 1), 29.6°, I 29
- (1 1 5), 32.9°, I 64
- (2 1 3), 33.1°, I 60
- (0 2 6), 38.8°, I 31
- (2 5 4), 57.4°, I 26

Theoretical X-ray diffraction stick pattern
Compound: PrInCo2H8
Radiation: Cu Kα, 1.54184 Å
Structure: a DFT-relaxed cell (GGA-PBE, Alexandria)
Intensities are scaled so that the largest is 100.

Structural model:
Cell: 4.3274 4.3274 6.6199 Å, 90.00 90.00 120.00°
Space group P-3 (No. 147)
Asymmetric unit:
Pr (0.0000, 0.0000, 0.0000)
In (0.0000, 0.0000, 0.5000)
Co (0.3333, 0.6667, 0.7034)
H (0.0482, 0.6481, 0.2757)
H (0.3333, 0.6667, 0.9337)

Peak list (10 most intense, 2θ from 5° to 70°, low angle first)
- (1 0 0), 23.7°, I 55
- (0 0 2), 26.9°, I 8
- (1 0 1), 27.3°, I 26
- (0 1 2), 36.2°, I 100
- (1 1 0), 41.7°, I 49
- (2 0 0), 48.6°, I 8
- (2 -1 2), 50.4°, I 10
- (2 0 2), 56.4°, I 27
- (1 0 4), 61.2°, I 14
- (2 1 0), 65.9°, I 7

Theoretical X-ray diffraction stick pattern
Compound: PmYBr5
Radiation: Cu Kα, 1.54184 Å
Structure: a DFT-relaxed cell (GGA-PBE, Alexandria)
Intensities are scaled so that the largest is 100.

Structural model:
Cell: 8.5377 4.0328 13.6490 Å, 90.00 94.42 90.00°
Space group P2_1/m (No. 11)
Asymmetric unit:
Pm (0.1023, 0.2500, 0.1520)
Y (0.4156, 0.7500, 0.3441)
Br (0.0686, 0.7500, 0.3099)
Br (0.1346, 0.2500, 0.9279)
Br (0.3229, 0.2500, 0.4823)
Br (0.3503, 0.7500, 0.1278)
Br (0.3721, 0.7500, 0.7103)

Peak list (10 most intense, 2θ from 5° to 70°, low angle first)
- (1 0 -1), 11.8°, I 100
- (1 1 2), 28.2°, I 36
- (2 0 3), 29.9°, I 18
- (2 1 0), 30.5°, I 34
- (1 1 -3), 30.9°, I 48
- (3 0 1), 32.7°, I 35
- (0 1 4), 34.5°, I 17
- (1 1 -5), 40.7°, I 16
- (2 1 4), 41.8°, I 17
- (0 2 0), 45.0°, I 31